Diffraction record for VAg4O4. The powder XRD pattern is theoretical, not measured: it uses a DFT-relaxed cell (PBE+U, Alexandria) and CuKα.
Intensities are scaled so that the largest is 100.

Cell and atoms:
```
data_VAg4O4
_chemical_formula_sum 'V1 Ag4 O4'
_space_group_name_H-M_alt 'P 1'
_space_group_IT_number 1
_space_group_name_Hall 'P 1'
_cell_length_a 6.0365
_cell_length_b 6.0365
_cell_length_c 6.0365
_cell_angle_alpha 97.80
_cell_angle_beta 97.80
_cell_angle_gamma 136.77
loop_
_atom_site_label
_atom_site_type_symbol
_atom_site_fract_x
_atom_site_fract_y
_atom_site_fract_z
V1 V 0.0000 0.0000 0.0000
Ag1 Ag 0.1664 0.5752 0.7346
Ag2 Ag 0.4248 0.1594 0.5912
Ag3 Ag 0.5683 0.8336 0.4088
Ag4 Ag 0.8406 0.4317 0.2654
O1 O 0.0638 0.1098 0.7414
O2 O 0.3683 0.3223 0.2586
O3 O 0.6777 0.9362 0.0460
O4 O 0.8902 0.6317 0.9540
```

Largest 10 diffraction maxima, low angle first, 5 to 70 degrees two-theta:
2θ/deg  Rel. int.
15.79  21
32.27  100
35.78  23
39.64  15
40.57  12
46.01  16
51.50  16
55.18  19
62.09  11
67.53  10